# Rb3Cd4Hg4
Simulated XRD peak list, Cu Kα (weighted mean of Kα1 and Kα2). Input: the PBE geometry in Alexandria.
No peak broadening, texture or thermal motion is included.

Largest 6 diffraction maxima, in order of rising 2θ, 2θ from 5° to 70°:
5.96 deg, I = 68; 27.18 deg, I = 100; 27.35 deg, I = 83; 27.50 deg, I = 55; 34.00 deg, I = 64; 35.59 deg, I = 58

Structure:
```
data_Rb3Cd4Hg4
_chemical_formula_sum 'Rb3 Cd4 Hg4'
_space_group_name_H-M_alt 'P -1'
_space_group_IT_number 2
_space_group_name_Hall '-P 1'
_cell_length_a 5.0445
_cell_length_b 5.2735
_cell_length_c 15.2355
_cell_angle_alpha 99.35
_cell_angle_beta 99.42
_cell_angle_gamma 90.05
loop_
_atom_site_label
_atom_site_fract_x
_atom_site_fract_y
_atom_site_fract_z
Rb1 0.0000 0.0000 0.0000
Rb2 0.1480 0.6412 0.2998
Cd1 0.3072 0.8235 0.6053
Cd2 0.4522 0.4549 0.8990
Hg1 0.2456 0.2708 0.5015
Hg2 0.4065 0.9115 0.8056
```

---

# PmTh3Pb4
Simulated XRD peak list, Cu Kα (weighted mean of Kα1 and Kα2). Input: the PBE geometry in Alexandria.
No peak broadening, texture or thermal motion is included.

Largest 6 diffraction maxima, in order of rising 2θ, 2θ from 5° to 70°:
15.31 deg, I = 1; 27.57 deg, I = 100; 39.39 deg, I = 79; 48.76 deg, I = 29; 56.93 deg, I = 14; 64.40 deg, I = 38

Structure:
```
data_PmTh3Pb4
_chemical_formula_sum 'Pm2 Th6 Pb8'
_space_group_name_H-M_alt 'I 4/m m m'
_space_group_IT_number 139
_space_group_name_Hall '-I 4 2'
_cell_length_a 6.4699
_cell_length_b 6.4699
_cell_length_c 12.9394
_cell_angle_alpha 90.00
_cell_angle_beta 90.00
_cell_angle_gamma 90.00
loop_
_atom_site_label
_atom_site_fract_x
_atom_site_fract_y
_atom_site_fract_z
Pm1 0.0000 0.0000 0.0000
Th1 0.0000 0.0000 0.5000
Th2 0.0000 0.5000 0.2500
Pb1 0.0000 0.0000 0.2497
Pb2 0.0000 0.5000 0.0000
```

---

# La2Pm5HoSc
Simulated XRD peak list, Cu Kα (weighted mean of Kα1 and Kα2). Input: the PBE geometry in Alexandria.
No peak broadening, texture or thermal motion is included.

Largest 6 diffraction maxima, in order of rising 2θ, 2θ from 5° to 70°:
26.83 deg, I = 34; 31.40 deg, I = 100; 32.37 deg, I = 15; 32.76 deg, I = 33; 35.34 deg, I = 14; 57.63 deg, I = 18

Structure:
```
data_La2Pm5HoSc
_chemical_formula_sum 'La8 Pm20 Ho4 Sc4'
_space_group_name_H-M_alt 'C m c m'
_space_group_IT_number 63
_space_group_name_Hall '-C 2c 2'
_cell_length_a 5.4665
_cell_length_b 22.1281
_cell_length_c 10.1596
_cell_angle_alpha 90.00
_cell_angle_beta 90.00
_cell_angle_gamma 90.00
loop_
_atom_site_label
_atom_site_fract_x
_atom_site_fract_y
_atom_site_fract_z
La1 0.0000 0.1166 0.0056
Pm1 0.0000 0.9995 0.2500
Pm2 0.0000 0.2763 0.0635
Pm3 0.0000 0.3722 0.7500
Pm4 0.0000 0.5000 0.0000
Ho1 0.0000 0.3969 0.2500
Sc1 0.0000 0.2136 0.7500
```

---

# AcTaN2O
Simulated XRD peak list, Cu Kα (weighted mean of Kα1 and Kα2). Input: the PBE geometry in Alexandria.
No peak broadening, texture or thermal motion is included.

Largest 6 diffraction maxima, in order of rising 2θ, 2θ from 5° to 70°:
30.56 deg, I = 100; 37.66 deg, I = 2; 43.69 deg, I = 8; 43.80 deg, I = 17; 54.32 deg, I = 41; 63.62 deg, I = 15

Structure:
```
data_AcTaN2O
_chemical_formula_sum 'Ac1 Ta1 N2 O1'
_space_group_name_H-M_alt 'P 4 m m'
_space_group_IT_number 99
_space_group_name_Hall 'P 4 -2'
_cell_length_a 4.1334
_cell_length_b 4.1334
_cell_length_c 4.1438
_cell_angle_alpha 90.00
_cell_angle_beta 90.00
_cell_angle_gamma 90.00
loop_
_atom_site_label
_atom_site_fract_x
_atom_site_fract_y
_atom_site_fract_z
Ac1 0.0000 0.0000 0.0000
Ta1 0.5000 0.5000 0.4623
N1 0.0000 0.5000 0.4086
O1 0.5000 0.5000 0.9313
```

---

# NaTbSnO3
Simulated XRD peak list, Cu Kα (weighted mean of Kα1 and Kα2). Input: the PBE geometry in Alexandria.
No peak broadening, texture or thermal motion is included.

Largest 6 diffraction maxima, in order of rising 2θ, 2θ from 5° to 70°:
14.19 deg, I = 70; 17.22 deg, I = 100; 27.98 deg, I = 33; 30.63 deg, I = 72; 31.22 deg, I = 74; 40.52 deg, I = 35

Structure:
```
data_NaTbSnO3
_chemical_formula_sum 'Na2 Tb2 Sn2 O6'
_space_group_name_H-M_alt 'P 1 21/m 1'
_space_group_IT_number 11
_space_group_name_Hall '-P 2yb'
_cell_length_a 6.2733
_cell_length_b 3.4194
_cell_length_c 10.5503
_cell_angle_alpha 90.00
_cell_angle_beta 95.61
_cell_angle_gamma 90.00
loop_
_atom_site_label
_atom_site_fract_x
_atom_site_fract_y
_atom_site_fract_z
Na1 0.1510 0.2500 0.3069
Tb1 0.3774 0.2500 0.6138
Sn1 0.2888 0.7500 0.8845
O1 0.1324 0.2500 0.7747
O2 0.3014 0.7500 0.4731
O3 0.4986 0.2500 0.2534
```

---

# BaSr4
Simulated XRD peak list, Cu Kα (weighted mean of Kα1 and Kα2). Input: the PBE geometry in Alexandria.
No peak broadening, texture or thermal motion is included.

Largest 6 diffraction maxima, in order of rising 2θ, 2θ from 5° to 70°:
25.39 deg, I = 100; 29.40 deg, I = 52; 42.05 deg, I = 38; 49.76 deg, I = 46; 52.11 deg, I = 10; 67.11 deg, I = 14

Structure:
```
data_BaSr4
_chemical_formula_sum 'Ba3 Sr12'
_space_group_name_H-M_alt 'R -3 m'
_space_group_IT_number 166
_space_group_name_Hall '-R 3 2"'
_cell_length_a 4.3007
_cell_length_b 4.3007
_cell_length_c 52.5375
_cell_angle_alpha 90.00
_cell_angle_beta 90.00
_cell_angle_gamma 120.00
loop_
_atom_site_label
_atom_site_fract_x
_atom_site_fract_y
_atom_site_fract_z
Ba1 0.0000 0.0000 0.0000
Sr1 0.0000 0.0000 0.1995
Sr2 0.0000 0.0000 0.4018
```

---

# CsLiSbS
Simulated XRD peak list, Cu Kα (weighted mean of Kα1 and Kα2). Input: the PBE geometry in Alexandria.
No peak broadening, texture or thermal motion is included.

Largest 6 diffraction maxima, in order of rising 2θ, 2θ from 5° to 70°:
6.37 deg, I = 65; 19.20 deg, I = 60; 21.87 deg, I = 58; 28.53 deg, I = 54; 30.43 deg, I = 61; 32.47 deg, I = 100

Structure:
```
data_CsLiSbS
_chemical_formula_sum 'Cs2 Li2 Sb2 S2'
_space_group_name_H-M_alt 'P 4/n m m'
_space_group_IT_number 129
_cell_length_a 4.2507
_cell_length_b 4.2507
_cell_length_c 13.8674
_cell_angle_alpha 90.00
_cell_angle_beta 90.00
_cell_angle_gamma 90.00
loop_
_space_group_symop_operation_xyz
'x,y,z'
'-x,-y,-z'
'-y+1/2,x,z'
'y+1/2,-x,-z'
'-x+1/2,-y+1/2,z'
'x+1/2,y+1/2,-z'
'y,-x+1/2,z'
'-y,x+1/2,-z'
'x+1/2,-y,-z'
'-x+1/2,y,z'
'-y,-x,-z'
'y,x,z'
'-x,y+1/2,-z'
'x,-y+1/2,z'
'y+1/2,x+1/2,-z'
'-y+1/2,-x+1/2,z'
loop_
_atom_site_label
_atom_site_fract_x
_atom_site_fract_y
_atom_site_fract_z
Cs1 0.2500 0.2500 0.2214
Li1 0.2500 0.7500 0.0000
Sb1 0.2500 0.7500 0.5000
S1 0.2500 0.2500 0.9071
```

---

# Ti5SnAu2
Simulated XRD peak list, Cu Kα (weighted mean of Kα1 and Kα2). Input: the PBE geometry in Alexandria.
No peak broadening, texture or thermal motion is included.

Largest 6 diffraction maxima, in order of rising 2θ, 2θ from 5° to 70°:
14.32 deg, I = 32; 23.28 deg, I = 31; 28.86 deg, I = 23; 29.97 deg, I = 41; 36.47 deg, I = 100; 41.57 deg, I = 43

Structure:
```
data_Ti5SnAu2
_chemical_formula_sum 'Ti20 Sn4 Au8'
_space_group_name_H-M_alt 'I 4/m c m'
_space_group_IT_number 140
_space_group_name_Hall '-I 4 2c'
_cell_length_a 6.8703
_cell_length_b 6.8703
_cell_length_c 12.3724
_cell_angle_alpha 90.00
_cell_angle_beta 90.00
_cell_angle_gamma 90.00
loop_
_atom_site_label
_atom_site_fract_x
_atom_site_fract_y
_atom_site_fract_z
Ti1 0.0000 0.0000 0.0000
Ti2 0.1492 0.3508 0.1608
Sn1 0.0000 0.0000 0.2500
Au1 0.1418 0.3582 0.5000
```

---

# Li2ErPd5
Simulated XRD peak list, Cu Kα (weighted mean of Kα1 and Kα2). Input: the PBE geometry in Alexandria.
No peak broadening, texture or thermal motion is included.

Largest 6 diffraction maxima, in order of rising 2θ, 2θ from 5° to 70°:
12.70 deg, I = 27; 32.79 deg, I = 45; 38.77 deg, I = 16; 39.90 deg, I = 100; 43.10 deg, I = 44; 59.34 deg, I = 17

Structure:
```
data_Li2ErPd5
_chemical_formula_sum 'Li4 Er2 Pd10'
_space_group_name_H-M_alt 'I 4/m m m'
_space_group_IT_number 139
_space_group_name_Hall '-I 4 2'
_cell_length_a 4.1978
_cell_length_b 4.1978
_cell_length_c 13.9378
_cell_angle_alpha 90.00
_cell_angle_beta 90.00
_cell_angle_gamma 90.00
loop_
_atom_site_label
_atom_site_fract_x
_atom_site_fract_y
_atom_site_fract_z
Li1 0.0000 0.0000 0.2491
Er1 0.0000 0.0000 0.0000
Pd1 0.0000 0.0000 0.5000
Pd2 0.0000 0.5000 0.1408
```

---

# Ir4I
Simulated XRD peak list, Cu Kα (weighted mean of Kα1 and Kα2). Input: the PBE geometry in Alexandria.
No peak broadening, texture or thermal motion is included.

Largest 6 diffraction maxima, in order of rising 2θ, 2θ from 5° to 70°:
18.53 deg, I = 12; 32.38 deg, I = 100; 37.56 deg, I = 99; 54.17 deg, I = 69; 64.54 deg, I = 43; 67.79 deg, I = 24

Structure:
```
data_Ir4I
_chemical_formula_sum 'Ir4 I1'
_space_group_name_H-M_alt 'P m -3 m'
_space_group_IT_number 221
_space_group_name_Hall '-P 4 2 3'
_cell_length_a 4.7887
_cell_length_b 4.7887
_cell_length_c 4.7887
_cell_angle_alpha 90.00
_cell_angle_beta 90.00
_cell_angle_gamma 90.00
loop_
_atom_site_label
_atom_site_fract_x
_atom_site_fract_y
_atom_site_fract_z
Ir1 0.0000 0.0000 0.0000
Ir2 0.0000 0.5000 0.5000
I1 0.5000 0.5000 0.5000
```

---

# ErZn8Cu2
Simulated XRD peak list, Cu Kα (weighted mean of Kα1 and Kα2). Input: the PBE geometry in Alexandria.
No peak broadening, texture or thermal motion is included.

Largest 6 diffraction maxima, in order of rising 2θ, 2θ from 5° to 70°:
16.93 deg, I = 15; 20.08 deg, I = 23; 26.38 deg, I = 40; 27.50 deg, I = 11; 40.81 deg, I = 100; 49.22 deg, I = 29

Structure:
```
data_ErZn8Cu2
_chemical_formula_sum 'Er1 Zn8 Cu2'
_space_group_name_H-M_alt 'P 4/m m m'
_space_group_IT_number 123
_space_group_name_Hall '-P 4 2'
_cell_length_a 5.2363
_cell_length_b 5.2363
_cell_length_c 8.2636
_cell_angle_alpha 90.00
_cell_angle_beta 90.00
_cell_angle_gamma 90.00
loop_
_atom_site_label
_atom_site_fract_x
_atom_site_fract_y
_atom_site_fract_z
Er1 0.0000 0.0000 0.0000
Zn1 0.2524 0.2524 0.2886
Cu1 0.0000 0.5000 0.5000
```

---

# NdNiH6Ir
Simulated XRD peak list, Cu Kα (weighted mean of Kα1 and Kα2). Input: the PBE geometry in Alexandria.
No peak broadening, texture or thermal motion is included.

Largest 6 diffraction maxima, in order of rising 2θ, 2θ from 5° to 70°:
22.02 deg, I = 15; 30.59 deg, I = 100; 38.63 deg, I = 49; 50.06 deg, I = 26; 58.93 deg, I = 29; 64.96 deg, I = 23

Structure:
```
data_NdNiH6Ir
_chemical_formula_sum 'Nd1 Ni1 H6 Ir1'
_space_group_name_H-M_alt 'P -6 m 2'
_space_group_IT_number 187
_space_group_name_Hall 'P -6 2'
_cell_length_a 4.6614
_cell_length_b 4.6614
_cell_length_c 4.2351
_cell_angle_alpha 90.00
_cell_angle_beta 90.00
_cell_angle_gamma 120.00
loop_
_atom_site_label
_atom_site_fract_x
_atom_site_fract_y
_atom_site_fract_z
Nd1 0.0000 0.0000 0.0000
Ni1 0.3333 0.6667 0.5000
H1 0.0035 0.5018 0.2455
Ir1 0.6667 0.3333 0.5000
```

---

# Pr2AlGa4Ni3
Simulated XRD peak list, Cu Kα (weighted mean of Kα1 and Kα2). Input: the PBE geometry in Alexandria.
No peak broadening, texture or thermal motion is included.

Largest 6 diffraction maxima, in order of rising 2θ, 2θ from 5° to 70°:
30.34 deg, I = 25; 33.71 deg, I = 69; 35.04 deg, I = 100; 43.44 deg, I = 57; 49.11 deg, I = 32; 56.08 deg, I = 31

Structure:
```
data_Pr2AlGa4Ni3
_chemical_formula_sum 'Pr2 Al1 Ga4 Ni3'
_space_group_name_H-M_alt 'P -4 m 2'
_space_group_IT_number 115
_space_group_name_Hall 'P -4 -2'
_cell_length_a 4.1668
_cell_length_b 4.1668
_cell_length_c 10.3579
_cell_angle_alpha 90.00
_cell_angle_beta 90.00
_cell_angle_gamma 90.00
loop_
_atom_site_label
_atom_site_fract_x
_atom_site_fract_y
_atom_site_fract_z
Pr1 0.0000 0.5000 0.2417
Al1 0.0000 0.0000 0.5000
Ga1 0.0000 0.0000 0.0000
Ga2 0.0000 0.5000 0.6438
Ga3 0.5000 0.5000 0.0000
Ni1 0.0000 0.5000 0.8757
Ni2 0.5000 0.5000 0.5000
```